Sr7Ag3: calculated XRD peak list (CuKα), based on a cell relaxed with PBE.
Neutral-atom scattering factors, no anomalous dispersion.

Main lines, in order of rising 2θ (2θ = 10–90°):
| 2theta | intensity |
| --- | --- |
| 26.35 | 46.7 |
| 27.12 | 100.0 |
| 27.37 | 28.2 |
| 30.10 | 90.5 |
| 30.82 | 68.8 |
| 31.71 | 62.5 |
| 34.77 | 29.9 |
| 46.98 | 25.7 |

Crystal structure
Lattice parameters (Å, degrees): 11.2859 11.2859 7.2109 90.00 90.00 120.00
Fractional coordinates of all 20 atoms:
Sr1 0.0823 0.5411 0.0000
Sr2 0.1247 0.2493 0.7013
Sr3 0.1247 0.8753 0.7013
Sr4 0.2493 0.1247 0.2013
Sr5 0.3333 0.6667 0.4994
Sr6 0.4589 0.5411 0.0000
Sr7 0.4589 0.9177 0.0000
Sr8 0.5411 0.0823 0.5000
Sr9 0.5411 0.4589 0.5000
Sr10 0.6667 0.3333 0.9994
Sr11 0.7507 0.8753 0.7013
Sr12 0.8753 0.1247 0.2013
Sr13 0.8753 0.7507 0.2013
Sr14 0.9177 0.4589 0.5000
Ag1 0.1893 0.3786 0.2749
Ag2 0.1893 0.8107 0.2749
Ag3 0.3786 0.1893 0.7749
Ag4 0.6214 0.8107 0.2749
Ag5 0.8107 0.1893 0.7749
Ag6 0.8107 0.6214 0.7749